# Li3ErBr6
Computed powder diffractogram, Cu Kα, 1.54184 Å. Input: a cell relaxed with GGA-PBE.

```
20
Lattice="3.465 -5.953 0.000 3.465 5.953 0.000 -2.245 0.000 13.066" Properties=species:S:1:pos:R:3 pbc="T T T"
Li 1.782 4.847 9.799
Li -0.553 0.971 13.062
Li 0.569 -0.971 6.529
Li 4.117 0.971 6.537
Li 5.239 -0.971 0.004
Li 2.904 -4.847 3.266
Er 0.610 2.976 6.533
Er 1.733 -2.976 0.000
Br -0.552 0.963 8.088
Br 0.651 3.033 11.502
Br 0.570 -0.963 1.555
Br 1.686 0.970 4.946
Br 2.913 3.033 8.097
Br 0.564 -0.970 11.479
Br 4.122 0.970 1.586
Br 1.774 -3.033 4.969
Br 3.000 -0.970 8.119
Br 4.116 0.963 11.510
Br 4.035 -3.033 1.564
Br 5.238 -0.963 4.977
```

Peak list (10 most intense, 2θ = 10–90°, in order of rising 2θ)
13.55 deg, rel. 34
15.49 deg, rel. 36
17.32 deg, rel. 23
27.32 deg, rel. 32
27.43 deg, rel. 32
31.55 deg, rel. 51
31.80 deg, rel. 100
45.41 deg, rel. 90
56.37 deg, rel. 19
56.61 deg, rel. 19


# ErBrO
Computed powder diffractogram, Cu Kα, 1.54184 Å. Input: a cell relaxed with GGA-PBE.

```
6
Lattice="3.822 0.000 0.000 0.000 3.822 0.000 0.000 0.000 8.623" Properties=species:S:1:pos:R:3 pbc="T T T"
Er 0.956 0.956 1.122
Er 2.867 2.867 7.502
Br 0.956 0.956 5.816
Br 2.867 2.867 2.808
O 0.956 2.867 0.000
O 2.867 0.956 0.000
```

Peak list (10 most intense, 2θ = 10–90°, in order of rising 2θ)
10.26 deg, rel. 54
31.27 deg, rel. 100
33.15 deg, rel. 42
39.22 deg, rel. 14
47.58 deg, rel. 20
54.44 deg, rel. 16
58.05 deg, rel. 35
65.24 deg, rel. 7
78.24 deg, rel. 7
79.26 deg, rel. 7


# Er2Br2O
Computed powder diffractogram, Cu Kα, 1.54184 Å. Input: a cell relaxed with GGA-PBE.

```
5
Lattice="4.060 0.000 0.000 0.000 4.060 0.000 0.000 0.000 13.088" Properties=species:S:1:pos:R:3 pbc="T T T"
Er 0.000 0.000 2.042
Er 0.000 0.000 11.046
Br 0.000 0.000 4.643
Br 0.000 0.000 8.446
O 0.000 0.000 0.000
```

Peak list (10 most intense, 2θ = 10–90°, in order of rising 2θ)
21.89 deg, rel. 100
27.25 deg, rel. 14
31.15 deg, rel. 41
35.23 deg, rel. 29
41.86 deg, rel. 18
44.63 deg, rel. 15
47.30 deg, rel. 18
50.24 deg, rel. 21
52.70 deg, rel. 13
58.10 deg, rel. 14


# Eu2Br2F
Computed powder diffractogram, Cu Kα, 1.54184 Å. Input: a cell relaxed with GGA-PBE.

```
5
Lattice="5.969 0.000 0.000 0.000 5.969 0.000 0.000 0.000 13.753" Properties=species:S:1:pos:R:3 pbc="T T T"
Eu 0.000 0.000 2.318
Eu 0.000 0.000 11.434
Br 0.000 0.000 5.015
Br 0.000 0.000 8.738
F 0.000 0.000 0.000
```

Peak list (10 most intense, 2θ = 10–90°, in order of rising 2θ)
14.84 deg, rel. 100
19.69 deg, rel. 11
21.05 deg, rel. 45
29.96 deg, rel. 31
33.58 deg, rel. 36
42.23 deg, rel. 9
42.87 deg, rel. 16
48.21 deg, rel. 10
52.63 deg, rel. 9
55.52 deg, rel. 11


# Eu2H3Br
Computed powder diffractogram, Cu Kα, 1.54184 Å. Input: a cell relaxed with GGA-PBE.

```
6
Lattice="4.072 0.000 0.000 -2.036 3.527 0.000 0.000 0.000 7.192" Properties=species:S:1:pos:R:3 pbc="T T T"
Eu 0.000 2.351 2.242
Eu 2.036 1.176 4.949
H 0.000 0.000 3.596
H 0.000 2.351 4.631
H 2.036 1.176 2.560
Br 0.000 0.000 0.000
```

Peak list (10 most intense, 2θ = 10–90°, in order of rising 2θ)
28.18 deg, rel. 100
35.66 deg, rel. 49
37.52 deg, rel. 13
44.50 deg, rel. 28
53.51 deg, rel. 17
57.54 deg, rel. 13
58.28 deg, rel. 12
59.57 deg, rel. 20
72.06 deg, rel. 14
76.17 deg, rel. 11


# EuIBr
Computed powder diffractogram, Cu Kα, 1.54184 Å. Input: a cell relaxed with GGA-PBE.

```
12
Lattice="8.473 0.000 0.000 0.000 4.812 0.000 0.000 0.000 9.806" Properties=species:S:1:pos:R:3 pbc="T T T"
Eu 1.917 1.203 1.255
Eu 2.320 3.609 6.158
Eu 6.153 1.203 3.648
Eu 6.556 3.609 8.550
I 0.225 3.609 3.266
I 4.011 1.203 8.169
I 4.462 3.609 1.637
I 8.247 1.203 6.540
Br 1.228 3.609 9.171
Br 3.009 1.203 4.268
Br 5.464 3.609 5.537
Br 7.245 1.203 0.634
```

Peak list (10 most intense, 2θ = 10–90°, in order of rising 2θ)
20.94 deg, rel. 20
28.04 deg, rel. 75
29.29 deg, rel. 17
29.53 deg, rel. 100
33.01 deg, rel. 23
33.13 deg, rel. 26
34.83 deg, rel. 34
36.70 deg, rel. 42
37.37 deg, rel. 37
53.38 deg, rel. 28


# Eu3BrO4
Computed powder diffractogram, Cu Kα, 1.54184 Å. Input: a cell relaxed with GGA-PBE.

```
16
Lattice="2.090 -6.136 0.000 2.090 6.136 0.000 0.000 0.000 11.911" Properties=species:S:1:pos:R:3 pbc="T T T"
Eu 2.090 4.652 8.933
Eu 2.090 3.942 1.184
Eu 2.090 3.942 4.772
Eu 2.090 -3.942 7.139
Eu 2.090 -3.942 10.728
Eu 2.090 -4.652 2.978
Br 2.090 0.000 0.000
Br 2.090 0.000 5.956
O 2.090 5.311 2.978
O 2.090 3.269 6.999
O 2.090 3.269 10.868
O 2.090 2.403 2.978
O 2.090 -2.403 8.933
O 2.090 -3.269 1.044
O 2.090 -3.269 4.912
O 2.090 -5.311 8.933
```

Peak list (10 most intense, 2θ = 10–90°, in order of rising 2θ)
14.43 deg, rel. 25
22.47 deg, rel. 29
26.74 deg, rel. 87
27.06 deg, rel. 32
30.58 deg, rel. 100
31.94 deg, rel. 78
33.45 deg, rel. 24
43.31 deg, rel. 34
51.63 deg, rel. 29
53.09 deg, rel. 36


# Eu4Br6O
Computed powder diffractogram, Cu Kα, 1.54184 Å. Input: a cell relaxed with GGA-PBE.

```
22
Lattice="9.887 0.000 0.000 -4.944 8.563 0.000 0.000 0.000 7.550" Properties=species:S:1:pos:R:3 pbc="T T T"
Eu 0.000 3.441 0.000
Eu -1.963 6.842 0.000
Eu 0.000 5.708 3.115
Eu 2.980 1.721 3.775
Eu 1.963 6.842 0.000
Eu 4.944 2.854 6.890
Eu 6.907 1.721 3.775
Eu 4.944 5.121 3.775
Br -1.965 4.574 5.321
Br 0.000 2.379 2.901
Br -2.884 7.373 2.901
Br 2.060 1.189 6.675
Br 1.965 4.574 5.321
Br 0.000 7.977 5.321
Br 4.944 0.586 1.546
Br 2.979 3.989 1.546
Br 2.884 7.373 2.901
Br 7.827 1.189 6.675
Br 4.944 6.184 6.675
Br 6.908 3.989 1.546
O 0.000 5.708 0.754
O 4.944 2.854 4.529
```

Peak list (10 most intense, 2θ = 10–90°, in order of rising 2θ)
10.33 deg, rel. 33
23.89 deg, rel. 64
30.04 deg, rel. 86
31.60 deg, rel. 100
33.57 deg, rel. 85
36.35 deg, rel. 66
36.57 deg, rel. 40
37.24 deg, rel. 34
41.63 deg, rel. 33
59.72 deg, rel. 36


# Eu2PBr
Computed powder diffractogram, Cu Kα, 1.54184 Å. Input: a cell relaxed with GGA-PBE.

```
12
Lattice="4.316 0.000 0.000 -2.158 3.738 0.000 0.000 0.000 21.834" Properties=species:S:1:pos:R:3 pbc="T T T"
Eu 0.000 0.000 5.169
Eu 0.000 0.000 16.665
Eu 0.000 2.492 9.387
Eu 0.000 2.492 19.725
Eu 2.158 1.246 2.109
Eu 2.158 1.246 12.447
P 0.000 0.000 10.917
P 0.000 2.492 3.639
P 2.158 1.246 18.195
Br 0.000 0.000 0.000
Br 0.000 2.492 14.556
Br 2.158 1.246 7.278
```

Peak list (10 most intense, 2θ = 10–90°, in order of rising 2θ)
25.18 deg, rel. 30
28.95 deg, rel. 100
31.51 deg, rel. 15
40.94 deg, rel. 30
41.86 deg, rel. 40
51.70 deg, rel. 20
57.12 deg, rel. 12
59.99 deg, rel. 10
68.62 deg, rel. 17
75.82 deg, rel. 10


# BrF5
Computed powder diffractogram, Cu Kα, 1.54184 Å. Input: a cell relaxed with GGA-PBE.

```
12
Lattice="3.366 -3.750 0.000 3.366 3.750 0.000 0.000 0.000 7.996" Properties=species:S:1:pos:R:3 pbc="T T T"
Br 3.366 2.449 3.998
Br 3.366 -2.449 0.000
F 3.366 3.558 5.486
F 1.818 1.405 0.072
F 3.366 1.170 2.721
F 3.366 1.135 5.162
F 1.818 -1.405 4.070
F 4.915 1.405 0.072
F 3.366 -1.135 1.164
F 3.366 -1.170 6.718
F 4.915 -1.405 4.070
F 3.366 -3.558 1.488
```

Peak list (10 most intense, 2θ = 10–90°, in order of rising 2θ)
20.92 deg, rel. 100
22.24 deg, rel. 26
23.72 deg, rel. 12
26.25 deg, rel. 21
26.48 deg, rel. 19
32.74 deg, rel. 14
41.57 deg, rel. 15
43.59 deg, rel. 19
44.82 deg, rel. 17
49.96 deg, rel. 11


Which formula does entry 1 have?
Li3ErBr6


Copy entry 9 word for word.
# Eu2PBr
Computed powder diffractogram, Cu Kα, 1.54184 Å. Input: a cell relaxed with GGA-PBE.

```
12
Lattice="4.316 0.000 0.000 -2.158 3.738 0.000 0.000 0.000 21.834" Properties=species:S:1:pos:R:3 pbc="T T T"
Eu 0.000 0.000 5.169
Eu 0.000 0.000 16.665
Eu 0.000 2.492 9.387
Eu 0.000 2.492 19.725
Eu 2.158 1.246 2.109
Eu 2.158 1.246 12.447
P 0.000 0.000 10.917
P 0.000 2.492 3.639
P 2.158 1.246 18.195
Br 0.000 0.000 0.000
Br 0.000 2.492 14.556
Br 2.158 1.246 7.278
```

Peak list (10 most intense, 2θ = 10–90°, in order of rising 2θ)
25.18 deg, rel. 30
28.95 deg, rel. 100
31.51 deg, rel. 15
40.94 deg, rel. 30
41.86 deg, rel. 40
51.70 deg, rel. 20
57.12 deg, rel. 12
59.99 deg, rel. 10
68.62 deg, rel. 17
75.82 deg, rel. 10